CsRe2OsSe4Cl3: simulated powder XRD pattern (CuKα), based on a crystal structure in the Materials Project, relaxed with GGA-PBE.

Most intense lines, 5° ≤ 2θ ≤ 70°, most intense first:
2theta, intensity
11.25, 100
9.71, 37
11.36, 25
14.97, 23
16.86, 10
41.35, 10
36.07, 9
46.91, 9
41.83, 7
26.51, 7

Structure:
abc: 10.523 10.523 15.574
angles: 90.20 90.20 120.06
Element x y z (fractional)
Cs  0.000  0.000  0.000
Cs  0.000  0.000  0.500
Cs  0.332  0.665  0.250
Cs  0.665  0.332  0.750
Re  0.187  0.521  0.681
Re  0.333  0.810  0.681
Re  0.334  0.522  0.819
Re  0.478  0.811  0.819
Re  0.521  0.187  0.181
Re  0.522  0.334  0.319
Re  0.810  0.333  0.181
Re  0.811  0.478  0.319
Os  0.186  0.666  0.820
Os  0.479  0.665  0.680
Os  0.665  0.479  0.180
Os  0.666  0.186  0.320
Se  0.055  0.667  0.685
Se  0.056  0.390  0.818
Se  0.329  0.941  0.819
Se  0.332  0.667  0.949
Se  0.334  0.390  0.681
Se  0.334  0.665  0.551
Se  0.390  0.056  0.318
Se  0.390  0.334  0.181
Se  0.612  0.941  0.682
Se  0.613  0.668  0.815
Se  0.665  0.334  0.051
Se  0.667  0.055  0.185
Se  0.667  0.332  0.449
Se  0.668  0.613  0.315
Se  0.941  0.329  0.319
Se  0.941  0.612  0.182
Cl  0.002  0.337  0.095
Cl  0.004  0.665  0.407
Cl  0.333  0.995  0.094
Cl  0.335  0.338  0.405
Cl  0.337  0.002  0.595
Cl  0.338  0.335  0.905
Cl  0.660  0.665  0.092
Cl  0.661  0.995  0.407
Cl  0.665  0.004  0.907
Cl  0.665  0.660  0.592
Cl  0.995  0.333  0.594
Cl  0.995  0.661  0.907